Diffraction record for KTl11Au5. The powder diffractogram is computed, not measured: it uses a crystal structure in Alexandria, relaxed with PBE and Cu Kα (weighted mean of Kα1 and Kα2).
No peak broadening, texture or thermal motion is included.

Structural model:
Cell: 8.760 8.760 6.788 Å, 97.76 97.76 103.18°
Sites, in units of the cell vectors:
K 0.000 0.000 0.000
Tl 0.000 0.000 0.500
Tl 0.153 0.668 0.701
Tl 0.191 0.450 0.141
Tl 0.332 0.847 0.299
Tl 0.341 0.341 0.586
Tl 0.450 0.191 0.141
Tl 0.550 0.809 0.859
Tl 0.659 0.659 0.414
Tl 0.668 0.153 0.701
Tl 0.809 0.550 0.859
Tl 0.847 0.332 0.299
Au 0.016 0.323 0.723
Au 0.323 0.016 0.723
Au 0.500 0.500 0.000
Au 0.677 0.984 0.277
Au 0.984 0.677 0.277

Most intense lines, 2θ = 5–70°, by intensity:
| Position (°2θ) | d/Å | intensity |
| --- | --- | --- |
| 32.4 | 2.765 | 100 |
| 30.0 | 2.983 | 61 |
| 31.0 | 2.883 | 48 |
| 33.5 | 2.675 | 47 |
| 35.4 | 2.536 | 37 |
| 44.7 | 2.028 | 35 |
| 32.5 | 2.755 | 34 |
| 15.5 | 5.701 | 33 |